[1]
Diffraction record for ScCuP4. The powder X-ray diffraction pattern is simulated, not measured: it uses the PBE geometry in Alexandria and Cu Kα X-rays.
Neutral-atom scattering factors, no anomalous dispersion.

Cell lengths 7.1398, 7.1398, 7.1398 Å; angles 90.00, 90.00, 90.00 degrees
Space group F-43m (No. 216)
Unique sites:
Sc  0.0000  0.0000  0.0000 [4 per cell]
Cu  0.2500  0.2500  0.2500 [4 per cell]
P  0.1224  0.1224  0.6224 [16 per cell]

The 9 most intense peaks (2θ from 5° to 70°), by angle:
d/Å  2θ (°)  Rel. int.
4.122  21.6  6
3.570  24.9  2
2.524  35.6  53
2.153  42.0  100
2.061  43.9  22
1.638  56.2  1
1.597  57.7  2
1.457  63.9  17
1.374  68.3  29


[2]
Diffraction record for Pm3PaTe4. The powder X-ray diffraction pattern is simulated, not measured: it uses the PBE geometry in Alexandria and Cu Kα X-rays.
Neutral-atom scattering factors, no anomalous dispersion.

Cell lengths 6.2693, 6.2693, 12.5401 Å; angles 90.00, 90.00, 90.00 degrees
Space group I4/mmm (No. 139)
Unique sites:
Pm  0.0000  0.0000  0.0000 [2 per cell]
Pm  0.0000  0.5000  0.2500 [4 per cell]
Pa  0.0000  0.0000  0.5000 [2 per cell]
Te  0.0000  0.0000  0.2524 [4 per cell]
Te  0.0000  0.5000  0.0000 [4 per cell]

The 10 most intense peaks (2θ from 5° to 70°), by angle:
d/Å  2θ (°)  Rel. int.
5.608  15.8  2
3.620  24.6  4
3.135  28.5  100
2.736  32.7  1
2.217  40.7  77
1.890  48.1  2
1.810  50.4  28
1.567  58.9  13
1.438  64.8  1
1.402  66.7  35


[3]
Diffraction record for Tm4ThCd3. The powder X-ray diffraction pattern is simulated, not measured: it uses the PBE geometry in Alexandria and Cu Kα X-rays.
Neutral-atom scattering factors, no anomalous dispersion.

Cell lengths 3.6400, 3.6400, 16.1114 Å; angles 90.00, 90.00, 90.00 degrees
Space group P4/mmm (No. 123)
Unique sites:
Tm  0.0000  0.0000  0.1154 [2 per cell]
Tm  0.0000  0.0000  0.3546 [2 per cell]
Th  0.5000  0.5000  0.5000 [1 per cell]
Cd  0.5000  0.5000  0.0000 [1 per cell]
Cd  0.5000  0.5000  0.2349 [2 per cell]

The 10 most intense peaks (2θ from 5° to 70°), by angle:
d/Å  2θ (°)  Rel. int.
3.013  29.6  8
2.701  33.2  100
2.574  34.9  49
2.413  37.3  3
2.013  45.0  10
1.820  50.1  18
1.716  53.4  4
1.586  58.2  15
1.509  61.4  34
1.350  69.6  8


[4]
Diffraction record for YGa6Cu6. The powder X-ray diffraction pattern is simulated, not measured: it uses the PBE geometry in Alexandria and Cu Kα X-rays.
Neutral-atom scattering factors, no anomalous dispersion.

Cell lengths 5.1716, 8.5549, 8.7150 Å; angles 90.00, 90.00, 90.00 degrees
Space group Immm (No. 71)
Unique sites:
Y  0.0000  0.0000  0.0000 [2 per cell]
Ga  0.0000  0.0000  0.3482 [4 per cell]
Ga  0.0000  0.3467  0.0000 [4 per cell]
Ga  0.0000  0.5000  0.3059 [4 per cell]
Cu  0.0000  0.2673  0.5000 [4 per cell]
Cu  0.2500  0.2500  0.2500 [8 per cell]

The 10 most intense peaks (2θ from 5° to 70°), by angle:
d/Å  2θ (°)  Rel. int.
2.586  34.7  23
2.533  35.4  38
2.497  36.0  21
2.224  40.6  47
2.213  40.8  43
2.179  41.4  100
2.167  41.7  41
2.139  42.3  39
1.973  46.0  75
1.941  46.8  27


[5]
Diffraction record for Pr12GaSi5. The powder X-ray diffraction pattern is simulated, not measured: it uses the PBE geometry in Alexandria and Cu Kα X-rays.
Neutral-atom scattering factors, no anomalous dispersion.

Cell lengths 9.8648, 10.1243, 10.4449 Å; angles 90.00, 90.00, 90.00 degrees
Space group Immm (No. 71)
Unique sites:
Pr  0.0000  0.1981  0.2427 [8 per cell]
Pr  0.2092  0.5000  0.1766 [8 per cell]
Pr  0.2332  0.3215  0.5000 [8 per cell]
Ga  0.0000  0.0000  0.5000 [2 per cell]
Si  0.0000  0.0000  0.0000 [2 per cell]
Si  0.0000  0.3768  0.0000 [4 per cell]
Si  0.0000  0.5000  0.3866 [4 per cell]

The 10 most intense peaks (2θ from 5° to 70°), by angle:
d/Å  2θ (°)  Rel. int.
3.586  24.8  25
3.291  27.1  23
3.211  27.8  27
3.127  28.5  18
2.926  30.6  100
2.738  32.7  43
2.724  32.9  32
2.691  33.3  33
2.466  36.4  27
1.619  56.9  17